(1)
This entry pairs a crystal structure of Tl3Cr2AgO8 with its computed powder diffraction line list. Radiation: Cu Kα. Structure: a structure optimized by DFT (GGA+U).
Peak positions follow from Bragg's law for the DFT cell and can differ from measured ones.

Principal peaks in the range 2θ = 10–80°, in order of rising 2θ:
Position (°2θ)  I/Imax
20.56  37
28.57  99
29.88  100
36.55  20
41.82  45
46.15  17
49.78  18
52.24  36
53.04  20
69.73  16

Structure:
Lattice parameters (Å, degrees): 5.980 5.980 7.833 90.00 90.00 120.00
Atoms (fractional coordinates):
Tl (0.000, 0.000, 0.000)
Tl (0.333, 0.667, 0.672)
Tl (0.667, 0.333, 0.328)
Cr (0.333, 0.667, 0.217)
Cr (0.667, 0.333, 0.783)
Ag (0.000, 0.000, 0.500)
O (0.180, 0.361, 0.290)
O (0.180, 0.820, 0.290)
O (0.333, 0.667, 0.006)
O (0.361, 0.180, 0.710)
O (0.639, 0.820, 0.290)
O (0.667, 0.333, 0.994)
O (0.820, 0.180, 0.710)
O (0.820, 0.639, 0.710)



(2)
This entry pairs a crystal structure of TmCr2AgO8 with its computed powder diffraction line list. Radiation: Cu Kα. Structure: a structure optimized by DFT (GGA+U).
Peak positions follow from Bragg's law for the DFT cell and can differ from measured ones.

Principal peaks in the range 2θ = 10–80°, in order of rising 2θ:
Position (°2θ)  I/Imax
18.74  30
24.74  100
33.51  71
35.27  21
40.24  13
49.45  56
50.74  16
57.25  13
62.19  16
73.56  13

Structure:
Lattice parameters (Å, degrees): 5.981 5.981 5.981 106.03 106.03 116.60
Atoms (fractional coordinates):
Tm (0.000, 0.000, 0.000)
Cr (0.250, 0.750, 0.500)
Cr (0.500, 0.500, 0.000)
Ag (0.750, 0.250, 0.500)
O (0.101, 0.408, 0.308)
O (0.101, 0.793, 0.692)
O (0.150, 0.328, 0.822)
O (0.207, 0.899, 0.308)
O (0.506, 0.328, 0.178)
O (0.592, 0.899, 0.692)
O (0.672, 0.494, 0.822)
O (0.672, 0.850, 0.178)